# 1
Starting from DFT lattice parameters and positions (GGA-PBE), the X-ray powder pattern of K2PH4O5 was calculated for copper Kα.
Peak positions follow from Bragg's law for the DFT cell and can differ from measured ones.

Cell and atoms:
```
48
Lattice="4.1169 -6.2200 0.0000 4.1169 6.2200 0.0000 -0.5896 0.0000 11.8899" Properties=species:S:1:pos:R:3 pbc="T T T"
K 3.8221 5.8421 5.9449
K 1.7460 1.3978 8.9838
K 3.8738 1.5580 5.1168
K 2.0408 -1.3978 3.0389
K 4.6604 2.3842 11.4591
K 3.5790 -1.5580 11.0617
K 4.9552 -2.3842 5.5142
K 4.1169 -5.8421 0.0000
P 2.8397 4.1108 2.5056
P 2.5449 -4.1108 8.4506
P 5.4984 0.2323 8.4980
P 5.7932 -0.2323 2.5531
H 1.4654 1.8429 3.3525
H 2.3087 3.7166 11.7653
H 2.7645 4.0663 7.9292
H 4.0384 5.2532 9.5951
H 2.4771 1.4801 1.2872
H 4.0193 3.1780 7.6104
H 1.1706 -1.8429 9.2974
H 3.6398 0.4352 1.0540
H 2.1823 -1.4801 7.2321
H 3.3450 -0.4352 6.9989
H 2.6035 -3.7166 5.8204
H 6.5653 2.0391 4.2999
H 3.0593 -4.0663 1.9842
H 4.3141 -3.1780 1.6654
H 4.3332 -5.2532 3.6501
H 6.2705 -2.0391 10.2448
O 1.8456 2.9485 2.1643
O 2.0215 3.4120 10.8672
O 1.1282 1.1547 4.0068
O 3.4135 3.9711 3.9249
O 3.9028 4.2511 1.3898
O 3.0697 3.3277 7.3256
O 0.8334 -1.1547 9.9518
O 2.6774 0.6120 0.8466
O 2.3826 -0.6120 6.7915
O 1.5508 -2.9485 8.1093
O 4.3336 0.4525 9.4712
O 2.3163 -3.4120 4.9222
O 4.6284 -0.4525 3.5262
O 5.3585 0.1043 1.1062
O 5.0637 -0.1044 7.0511
O 3.3645 -3.3277 1.3807
O 3.1187 -3.9710 9.8698
O 6.8089 0.8563 3.0707
O 3.6080 -4.2511 7.3347
O 6.5141 -0.8563 9.0157
```

Peak list (10 most intense, 10° ≤ 2θ ≤ 80°, by angle)
two_theta	d/Å	intensity
12.90	6.860	46
16.08	5.511	38
25.73	3.463	44
26.67	3.342	57
26.97	3.306	77
28.11	3.175	100
28.69	3.112	67
32.73	2.736	98
33.97	2.639	41
37.78	2.381	45

***

# 2
Starting from DFT lattice parameters and positions (GGA-PBE), the X-ray powder pattern of PuCdAu2 was calculated for copper Kα.
Peak positions follow from Bragg's law for the DFT cell and can differ from measured ones.

Cell and atoms:
```
4
Lattice="0.0000 3.5263 3.5263 3.5263 0.0000 3.5263 3.5263 3.5263 0.0000" Properties=species:S:1:pos:R:3 pbc="T T T"
Pu 0.0000 0.0000 0.0000
Cd 3.5263 3.5263 3.5263
Au 1.7631 1.7631 1.7631
Au 5.2894 5.2894 5.2894
```

Peak list (8 most intense, 10° ≤ 2θ ≤ 80°, by angle)
two_theta	d/Å	intensity
21.83	4.072	6
36.02	2.493	100
42.51	2.126	3
51.86	1.763	18
56.91	1.618	2
64.76	1.440	37
69.22	1.357	1
76.39	1.247	12

***

# 3
Starting from DFT lattice parameters and positions (GGA-PBE), the X-ray powder pattern of Sr2CuBr2O2 was calculated for copper Kα.
Peak positions follow from Bragg's law for the DFT cell and can differ from measured ones.

Cell and atoms:
```
7
Lattice="-1.9970 1.9970 9.4661 1.9970 -1.9970 9.4661 1.9970 1.9970 -9.4661" Properties=species:S:1:pos:R:3 pbc="T T T"
Sr 0.0000 0.0000 1.7022
Sr 0.0000 0.0000 17.2299
Cu 0.0000 0.0000 9.4661
Br 0.0000 0.0000 6.2875
Br 0.0000 0.0000 12.6446
O 1.9970 0.0000 0.0000
O 0.0000 1.9970 0.0000
```

Peak list (10 most intense, 10° ≤ 2θ ≤ 80°, by angle)
two_theta	d/Å	intensity
31.68	2.824	72
32.59	2.748	100
37.07	2.425	16
40.27	2.239	37
45.42	1.997	36
57.01	1.615	39
62.29	1.490	20
68.07	1.377	14
75.23	1.263	12
77.03	1.238	13

***

# 4
Starting from DFT lattice parameters and positions (GGA-PBE), the X-ray powder pattern of CeGa4Co9 was calculated for copper Kα.
Peak positions follow from Bragg's law for the DFT cell and can differ from measured ones.

Cell and atoms:
```
28
Lattice="-3.9805 3.9805 5.8302 3.9805 -3.9805 5.8302 3.9805 3.9805 -5.8302" Properties=species:S:1:pos:R:3 pbc="T T T"
Ce 0.0000 0.0000 2.9151
Ce 0.0000 0.0000 8.7453
Ga 5.4192 1.4387 -1.4483
Ga 1.4387 2.5418 -1.4483
Ga 5.4192 1.4387 1.4483
Ga 1.4387 2.5418 1.4483
Ga 2.5418 1.4387 4.3819
Ga -1.4387 2.5418 4.3819
Ga 2.5418 1.4387 7.2785
Ga -1.4387 2.5418 7.2785
Co 3.9805 0.0000 0.0000
Co 1.5987 0.4904 0.0000
Co 4.8827 -0.9023 2.0443
Co 3.4901 -2.3818 5.8302
Co 3.0782 -0.9023 3.7860
Co 3.0782 0.9023 2.0443
Co 3.4901 2.3818 0.0000
Co 1.5987 -0.4904 5.8302
Co 4.8827 0.9023 3.7860
Co 0.0000 3.9805 0.0000
Co -0.9023 3.0782 2.0443
Co 2.3818 4.4709 0.0000
Co 0.4904 1.5987 5.8302
Co 0.9023 3.0782 3.7860
Co 0.9023 4.8827 2.0443
Co 0.4904 6.3623 0.0000
Co -0.9023 4.8827 3.7860
Co 2.3818 3.4901 5.8302
```

Peak list (10 most intense, 10° ≤ 2θ ≤ 80°, by angle)
two_theta	d/Å	intensity
34.65	2.589	36
35.41	2.535	29
35.66	2.517	27
38.27	2.352	63
38.97	2.311	100
46.55	1.951	53
47.35	1.920	65
47.74	1.905	77
49.63	1.837	15
55.94	1.644	20

***

# 5
Starting from DFT lattice parameters and positions (GGA-PBE), the X-ray powder pattern of LiAlSi2O6 was calculated for copper Kα.
Peak positions follow from Bragg's law for the DFT cell and can differ from measured ones.

Cell and atoms:
```
20
Lattice="5.0386 0.0000 0.0000 -0.0196 7.7010 0.0000 -0.0104 -3.5549 7.9466" Properties=species:S:1:pos:R:3 pbc="T T T"
Li 0.0000 0.0000 0.0000
Li 2.4824 4.8002 3.4125
Al 0.0112 6.4412 2.7167
Al 2.4612 -2.7838 6.5435
Si 2.2386 0.4026 6.6355
Si 2.5370 6.2390 0.8192
Si 4.7771 1.0680 4.9074
Si 4.9644 4.1950 4.8771
O 0.1853 0.1726 3.6579
O 0.7545 0.9261 6.1842
O 1.5239 4.5363 5.0597
O 1.6135 5.9277 2.1387
O 1.8407 3.8603 7.8452
O 2.2151 -1.1537 7.0424
O 2.6984 1.2944 7.9303
O 3.2719 0.6701 5.3985
O 4.0316 6.7308 1.2914
O 4.1560 4.5184 6.2764
O 4.3483 5.0995 3.6526
O 4.7486 2.6437 4.4432
```

Peak list (10 most intense, 10° ≤ 2θ ≤ 80°, by angle)
two_theta	d/Å	intensity
11.13	7.947	62
12.59	7.030	49
12.97	6.828	36
19.99	4.441	22
20.87	4.255	100
23.11	3.848	12
25.34	3.515	42
26.10	3.414	27
27.30	3.266	13
35.66	2.518	22

***

# 6
Starting from DFT lattice parameters and positions (GGA-PBE), the X-ray powder pattern of Ba2YMgNbO6 was calculated for copper Kα.
Peak positions follow from Bragg's law for the DFT cell and can differ from measured ones.

Cell and atoms:
```
11
Lattice="2.9805 1.7208 5.9313 -2.9805 1.7208 5.9313 0.0000 -3.4416 5.9313" Properties=species:S:1:pos:R:3 pbc="T T T"
Ba 0.0000 0.0000 0.0000
Ba 0.0000 0.0000 7.5292
Y 0.0000 0.0000 3.8950
Mg 0.0000 0.0000 10.5505
Nb 0.0000 0.0000 13.2475
O -1.4684 -0.8478 14.2508
O 0.0000 -1.6360 11.6571
O -1.4168 0.8180 11.6571
O 1.4684 -0.8478 14.2508
O 0.0000 1.6956 14.2508
O 1.4168 0.8180 11.6571
```

Peak list (10 most intense, 10° ≤ 2θ ≤ 80°, by angle)
two_theta	d/Å	intensity
14.94	5.931	26
26.45	3.370	47
29.98	2.981	100
30.51	2.930	47
40.40	2.233	33
43.30	2.089	21
53.23	1.721	20
53.56	1.711	18
55.80	1.648	16
62.32	1.490	23